# 1
This entry pairs a crystal structure of Li9Cr4B8O24 with its computed X-ray powder pattern. Radiation: Cu Kα, 1.54184 Å. Structure: DFT lattice parameters and positions (GGA+U).
Neutral-atom scattering factors, no anomalous dispersion.

Principal peaks in the range 10° ≤ 2θ ≤ 90°, low angle first:
2θ 18.51, d = 4.793 Å, I = 576, hkl 1 1 1
2θ 18.84, d = 4.711 Å, I = 523, hkl -1 1 1
2θ 20.59, d = 4.313 Å, I = 394, hkl 0 0 2
2θ 21.89, d = 4.060 Å, I = 99, hkl 0 2 0
2θ 23.00, d = 3.866 Å, I = 179, hkl 0 2 2
2θ 23.20, d = 3.834 Å, I = 1000, hkl 1 -1 1
2θ 37.05, d = 2.427 Å, I = 180, hkl 2 2 0
2θ 37.28, d = 2.412 Å, I = 190, hkl 2 -2 0
2θ 38.24, d = 2.353 Å, I = 257, hkl 0 2 4
2θ 41.69, d = 2.166 Å, I = 120, hkl 1 3 -1

Unit cell a=6.0251 b=8.9315 c=9.4873 alpha=65.40 beta=89.04 gamma=89.27
Positions (direct):
Li 0.0000 0.0000 0.0000
Li 0.0035 0.5489 0.0729
Li 0.1683 0.7054 0.6589
Li 0.2939 0.1065 0.3339
Li 0.5067 0.7875 0.4771
Li 0.5268 0.7816 0.9890
Li 0.5487 0.2633 0.4217
Li 0.6657 0.1283 0.8260
Li 0.9643 0.5293 0.5631
Cr 0.2108 0.1636 0.7100
Cr 0.2865 0.6285 0.2720
Cr 0.7096 0.6281 0.7703
Cr 0.7955 0.1622 0.2122
B 0.0216 0.3464 0.9069
B 0.0871 0.8501 0.3010
B 0.4204 0.9460 0.6792
B 0.4674 0.4521 0.0710
B 0.5328 0.4546 0.5664
B 0.5896 0.9448 0.1806
B 0.8967 0.8559 0.7908
B 0.9730 0.3406 0.4134
O 0.0057 0.3217 0.5624
O 0.0346 0.0029 0.2931
O 0.0452 0.4850 0.2939
O 0.0836 0.8119 0.1740
O 0.1142 0.2183 0.8881
O 0.1800 0.7208 0.4316
O 0.3409 0.0807 0.5509
O 0.3538 0.5793 0.0880
O 0.4355 0.9735 0.8123
O 0.4546 0.7928 0.6779
O 0.4790 0.3068 0.6789
O 0.4824 0.4827 0.4119
O 0.5157 0.3036 0.1908
O 0.5178 0.8009 0.1830
O 0.5231 0.4836 0.9169
O 0.5679 0.9876 0.3068
O 0.6477 0.5774 0.5860
O 0.7111 0.0632 0.0614
O 0.8078 0.7195 0.9185
O 0.8585 0.2279 0.3782
O 0.8940 0.8230 0.6593
O 0.9480 0.3337 0.0549
O 0.9594 0.9961 0.7997
O 0.9867 0.5019 0.7853

---

# 2
This entry pairs a crystal structure of LiCrBO3 with its computed X-ray powder pattern. Radiation: Cu Kα, 1.54184 Å. Structure: DFT lattice parameters and positions (GGA+U).
Neutral-atom scattering factors, no anomalous dispersion.

Principal peaks in the range 10° ≤ 2θ ≤ 90°, low angle first:
2θ 21.62, d = 4.111 Å, I = 1000, hkl 1 1 0
2θ 25.01, d = 3.560 Å, I = 195, hkl 2 0 0
2θ 33.29, d = 2.691 Å, I = 394, hkl 1 2 0
2θ 35.82, d = 2.507 Å, I = 806, hkl 1 1 1
2θ 37.91, d = 2.374 Å, I = 274, hkl 3 0 0
2θ 38.05, d = 2.365 Å, I = 234, hkl 2 0 1
2θ 44.18, d = 2.050 Å, I = 232, hkl 1 2 1
2θ 47.91, d = 1.899 Å, I = 220, hkl 3 0 1
2θ 54.80, d = 1.675 Å, I = 387, hkl 3 1 1
2θ 64.16, d = 1.452 Å, I = 188, hkl 2 3 1

Unit cell a=8.2225 b=8.2225 c=3.1633 alpha=90.00 beta=90.00 gamma=120.00
Positions (direct):
Li 0.0639 0.3783 0.0000
Li 0.3144 0.9361 0.0000
Li 0.6217 0.6856 0.0000
Cr 0.3512 0.2901 0.5000
Cr 0.7099 0.0611 0.5000
Cr 0.9389 0.6488 0.5000
B 0.0000 0.0000 0.0000
B 0.3333 0.6667 0.5000
B 0.6667 0.3333 0.0000
O 0.1943 0.1080 0.0000
O 0.2197 0.4715 0.5000
O 0.2518 0.7803 0.5000
O 0.5285 0.7482 0.5000
O 0.5499 0.4111 0.0000
O 0.5889 0.1388 0.0000
O 0.8612 0.4501 0.0000
O 0.8920 0.0863 0.0000
O 0.9137 0.8057 0.0000